Theoretical powder diffraction line list of Ba6Nd2YCu12O24 for Cu Kα X-rays, from a DFT-relaxed cell (GGA-PBE, Alexandria).

Main lines, in order of falling intensity (2θ from 10° to 90°):
| two_theta | intensity |
| --- | --- |
| 32.2 | 100 |
| 32.5 | 96 |
| 34.6 | 64 |
| 29.9 | 44 |
| 57.6 | 38 |
| 46.3 | 33 |
| 46.5 | 32 |
| 60.3 | 30 |

Cell and atoms:
```
45
Lattice="11.7245 0.0000 0.0000 0.0000 3.9189 0.0000 -1.9551 0.0000 13.8370" Properties=species:S:1:pos:R:3 pbc="T T T"
Ba 0.0000 0.0000 3.7657
Ba 1.9477 0.0000 10.0543
Ba 3.9032 0.0000 3.7831
Ba 5.8663 0.0000 10.0539
Ba 7.8217 0.0000 3.7827
Ba 9.7694 0.0000 10.0714
Nd 1.9420 0.0000 13.8369
Nd 7.8274 0.0000 0.0001
Y 0.0000 0.0000 0.0000
Cu -0.0037 1.9594 7.9582
Cu -0.0242 1.9594 12.0936
Cu 1.9311 1.9594 1.7426
Cu 1.9501 1.9594 5.8797
Cu 3.9068 1.9594 7.9537
Cu 3.9072 1.9594 12.0586
Cu 5.8622 1.9594 1.7784
Cu 5.8626 1.9594 5.8833
Cu 7.8193 1.9594 7.9574
Cu 7.8383 1.9594 12.0944
Cu 9.7937 1.9594 1.7434
Cu 9.7731 1.9594 5.8789
O 0.0000 1.9594 1.4237
O -0.0004 1.9594 6.0663
O -0.0084 1.9594 9.8073
O -0.0607 0.0000 12.3500
O 1.8943 0.0000 1.4868
O 1.9457 1.9594 4.0304
O 1.9522 1.9594 7.7722
O 1.9361 1.9594 12.3152
O 3.8912 1.9594 1.5216
O 3.9066 1.9594 6.0618
O 3.9063 1.9594 9.8013
O 3.9074 0.0000 12.3086
O 5.8621 0.0000 1.5284
O 5.8632 1.9594 4.0357
O 5.8629 1.9594 7.7752
O 5.8782 1.9594 12.3154
O 7.8333 1.9594 1.5218
O 7.8172 1.9594 6.0648
O 7.8237 1.9594 9.8066
O 7.8751 0.0000 12.3503
O 9.8302 0.0000 1.4871
O 9.7778 1.9594 4.0297
O 9.7698 1.9594 7.7708
O 9.7694 1.9594 12.4134
```